Starting from a DFT-relaxed cell (PBE, Alexandria), the PXRD pattern of AgSb2Au5 was computed for λ = 1.5418 Å (Cu Kα).
Kinematic intensities with the Lorentz-polarization factor, no thermal factor.

Main lines, most intense first (2θ from 5° to 70°):
Position (°2θ)  Rel. int.  (hkl)
34.15  100.0  1 4 0
33.51  70.6  0 0 2
38.81  66.1  1 4 1
38.66  56.2  2 0 -1
41.08  55.1  2 0 1
37.57  49.3  1 4 -1
47.56  36.8  1 4 -2
40.18  30.7  0 3 2
24.55  25.3  1 1 -1
64.91  17.5  3 4 -1
59.92  16.6  0 8 0
49.63  16.0  1 4 2

Crystal structure
```
data_AgSb2Au5
_chemical_formula_sum 'Ag2 Sb4 Au10'
_space_group_name_H-M_alt 'P 1 21/m 1'
_space_group_IT_number 11
_cell_length_a 5.0016
_cell_length_b 12.3508
_cell_length_c 5.3639
_cell_angle_alpha 90.00
_cell_angle_beta 94.36
_cell_angle_gamma 90.00
loop_
_space_group_symop_operation_xyz
'x,y,z'
'-x,-y,-z'
'-x,y+1/2,-z'
'x,-y+1/2,z'
loop_
_atom_site_label
_atom_site_type_symbol
_atom_site_fract_x
_atom_site_fract_y
_atom_site_fract_z
_atom_site_occupancy
Ag1 Ag 0.1031 0.2500 0.2262 1
Sb1 Sb 0.3628 0.1089 0.8202 1
Au1 Au 0.0994 0.7500 0.2879 1
Au2 Au 0.1198 0.0098 0.2619 1
Au3 Au 0.3843 0.6320 0.6830 1
```